Calculated X-ray diffraction stick pattern
Compound: Li4Cr2Ni3SnP6O24
Radiation: Cu Kα X-rays
Structure: a crystal structure in the Materials Project, relaxed with GGA+U
Intensities are scaled so that the largest is 100.

Top 10 peaks for 2θ = 10–90°, by angle:
19.9 deg, 4.458 Å, I = 100.0, (0 1 -1)
20.0 deg, 4.441 Å, I = 45.0, (1 -1 0)
23.4 deg, 3.800 Å, I = 42.9, (0 2 1)
23.7 deg, 3.748 Å, I = 41.4, (1 0 2)
24.2 deg, 3.675 Å, I = 39.4, (2 1 0)
32.2 deg, 2.776 Å, I = 28.4, (1 2 3)
32.8 deg, 2.729 Å, I = 44.5, (2 1 3)
33.5 deg, 2.676 Å, I = 37.1, (3 1 2)
34.9 deg, 2.574 Å, I = 60.0, (1 1 -2)
35.0 deg, 2.563 Å, I = 29.2, (-2 1 1)

Cell lengths 8.420, 8.692, 8.703 Å; angles 61.79, 62.65, 62.56 degrees
Atoms (fractional coordinates):
Li 0.000 0.000 0.000
Li 0.110 0.946 0.487
Li 0.221 0.448 0.343
Li 0.563 0.657 0.792
Cr 0.363 0.797 0.137
Cr 0.845 0.295 0.635
Ni 0.209 0.646 0.988
Ni 0.502 0.945 0.281
Ni 0.710 0.153 0.489
Sn 0.004 0.445 0.790
P 0.109 0.243 0.195
P 0.301 0.048 0.678
P 0.417 0.550 0.586
P 0.605 0.342 0.094
P 0.798 0.851 0.891
P 0.912 0.758 0.389
O 0.047 0.276 0.034
O 0.095 0.205 0.713
O 0.110 0.730 0.233
O 0.170 0.401 0.160
O 0.257 0.478 0.625
O 0.259 0.050 0.213
O 0.284 0.893 0.872
O 0.309 0.994 0.530
O 0.383 0.607 0.744
O 0.408 0.714 0.406
O 0.448 0.537 0.069
O 0.457 0.116 0.631
O 0.551 0.187 0.119
O 0.604 0.866 0.040
O 0.607 0.396 0.563
O 0.673 0.311 0.243
O 0.751 0.799 0.330
O 0.759 0.377 0.891
O 0.801 0.029 0.724
O 0.834 0.690 0.830
O 0.897 0.901 0.454
O 0.934 0.557 0.543
O 0.955 0.219 0.384
O 0.956 0.812 0.960

***

Calculated X-ray diffraction stick pattern
Compound: LiCr3NiS6O24
Radiation: Cu Kα X-rays
Structure: a crystal structure in the Materials Project, relaxed with GGA+U
Intensities are scaled so that the largest is 100.

Top 10 peaks for 2θ = 10–90°, by angle:
14.6 deg, 6.049 Å, I = 64.6, (1 0 1)
20.1 deg, 4.417 Å, I = 56.8, (1 1 2)
21.4 deg, 4.151 Å, I = 14.5, (1 2 1)
24.5 deg, 3.630 Å, I = 100.0, (1 2 2)
24.6 deg, 3.617 Å, I = 17.6, (2 1 2)
29.5 deg, 3.033 Å, I = 15.0, (0 2 2)
29.6 deg, 3.021 Å, I = 31.3, (2 0 2)
32.2 deg, 2.779 Å, I = 29.2, (-1 1 2)
32.3 deg, 2.772 Å, I = 31.4, (1 2 -1)
37.5 deg, 2.400 Å, I = 11.6, (3 0 1)

Cell lengths 8.284, 8.300, 8.859 Å; angles 62.13, 62.34, 60.24 degrees
Atoms (fractional coordinates):
Li 0.000 0.000 0.000
Cr 0.084 0.429 0.823
Cr 0.587 0.927 0.311
Cr 0.876 0.221 0.443
Ni 0.394 0.722 0.917
S 0.190 0.118 0.623
S 0.271 0.042 0.123
S 0.488 0.531 0.626
S 0.694 0.323 0.125
S 0.772 0.829 0.625
S 0.984 0.613 0.122
O 0.125 0.069 0.295
O 0.186 0.589 0.080
O 0.196 0.933 0.775
O 0.218 0.254 0.665
O 0.237 0.913 0.077
O 0.259 0.234 0.978
O 0.281 0.561 0.667
O 0.341 0.085 0.455
O 0.469 0.952 0.141
O 0.522 0.545 0.767
O 0.534 0.681 0.451
O 0.567 0.525 0.079
O 0.584 0.862 0.765
O 0.614 0.335 0.604
O 0.616 0.187 0.140
O 0.724 0.269 0.297
O 0.750 0.876 0.450
O 0.854 0.816 0.137
O 0.863 0.957 0.603
O 0.891 0.285 0.980
O 0.908 0.623 0.668
O 0.925 0.472 0.296
O 0.948 0.601 0.979
O 0.994 0.207 0.602